Li3Ti3P4O16: computed PXRD pattern (CuKα), based on DFT lattice parameters and positions (GGA-PBE).
Kinematic intensities with the Lorentz-polarization factor, no thermal factor.

Atomic structure:
Lattice parameters (Å, degrees): 7.7258 8.0805 10.2567 90.00 94.83 90.00
Element x y z (fractional)
Li: 0.1386 0.0000 0.0786
Li: 0.1499 0.0106 0.5778
Li: 0.3424 0.2726 0.6686
Li: 0.6576 0.7726 0.3314
Li: 0.8501 0.5106 0.4222
Li: 0.8614 0.5000 0.9214
Ti: 0.2378 0.6391 0.6230
Ti: 0.2414 0.6469 0.1296
Ti: 0.3509 0.2912 0.1750
Ti: 0.6491 0.7912 0.8250
Ti: 0.7586 0.1469 0.8704
Ti: 0.7622 0.1391 0.3770
P: 0.0471 0.8325 0.3572
P: 0.0522 0.8386 0.8549
P: 0.4534 0.4446 0.8887
P: 0.4536 0.4547 0.4021
P: 0.5464 0.9547 0.5979
P: 0.5466 0.9446 0.1113
P: 0.9478 0.3386 0.1451
P: 0.9529 0.3325 0.6428
O: 0.0072 0.5112 0.6040
O: 0.0100 0.5129 0.1044
O: 0.1040 0.2147 0.6528
O: 0.1088 0.2192 0.1513
O: 0.1311 0.8330 0.7220
O: 0.1353 0.8349 0.2245
O: 0.1874 0.7807 0.9646
O: 0.1903 0.7785 0.4676
O: 0.3086 0.4997 0.2879
O: 0.3089 0.5033 0.7866
O: 0.3664 0.4494 0.5311
O: 0.3758 0.4455 0.0273
O: 0.3933 0.0678 0.1006
O: 0.3938 0.0687 0.5952
O: 0.4862 0.7704 0.1476
O: 0.4971 0.7754 0.6518
O: 0.5029 0.2754 0.3482
O: 0.5138 0.2704 0.8524
O: 0.6062 0.5687 0.4048
O: 0.6067 0.5678 0.8994
O: 0.6242 0.9455 0.9727
O: 0.6336 0.9494 0.4689
O: 0.6914 0.9997 0.7121
O: 0.6911 0.0033 0.2134
O: 0.8097 0.2785 0.5324
O: 0.8126 0.2807 0.0354
O: 0.8647 0.3349 0.7755
O: 0.8689 0.3330 0.2780
O: 0.8912 0.7192 0.8487
O: 0.8960 0.7147 0.3472
O: 0.9900 0.0129 0.8956
O: 0.9928 0.0112 0.3960

Top 6 peaks for 2θ = 15–90°, in order of falling intensity:
22.88 deg, d = 3.887 Å, intensity 100; 15.90 deg, d = 5.574 Å, intensity 90; 25.63 deg, d = 3.475 Å, intensity 86; 29.93 deg, d = 2.985 Å, intensity 58; 24.34 deg, d = 3.657 Å, intensity 52; 21.67 deg, d = 4.101 Å, intensity 51

Ac2IrPd: computed PXRD pattern (CuKα), based on DFT lattice parameters and positions (GGA-PBE).
Kinematic intensities with the Lorentz-polarization factor, no thermal factor.

Atomic structure:
Lattice parameters (Å, degrees): 7.5148 7.5148 7.5148 90.00 90.00 90.00
Element x y z (fractional)
Ac: 0.2500 0.2500 0.2500
Ac: 0.2500 0.2500 0.7500
Ac: 0.2500 0.7500 0.2500
Ac: 0.2500 0.7500 0.7500
Ac: 0.7500 0.2500 0.2500
Ac: 0.7500 0.2500 0.7500
Ac: 0.7500 0.7500 0.2500
Ac: 0.7500 0.7500 0.7500
Ir: 0.0000 0.0000 0.0000
Ir: 0.0000 0.5000 0.5000
Ir: 0.5000 0.0000 0.5000
Ir: 0.5000 0.5000 0.0000
Pd: 0.0000 0.0000 0.5000
Pd: 0.0000 0.5000 0.0000
Pd: 0.5000 0.0000 0.0000
Pd: 0.5000 0.5000 0.5000

Top 6 peaks for 2θ = 15–90°, in order of falling intensity:
33.73 deg, d = 2.657 Å, intensity 100; 60.34 deg, d = 1.534 Å, intensity 38; 48.45 deg, d = 1.879 Å, intensity 18; 80.90 deg, d = 1.188 Å, intensity 17; 70.95 deg, d = 1.328 Å, intensity 12; 23.68 deg, d = 3.757 Å, intensity 4

Hg4SbHO6: computed PXRD pattern (CuKα), based on DFT lattice parameters and positions (GGA-PBE).
Kinematic intensities with the Lorentz-polarization factor, no thermal factor.

Atomic structure:
Lattice parameters (Å, degrees): 4.9878 4.9920 8.7394 104.73 105.57 92.97
Element x y z (fractional)
Hg: 0.0000 0.0000 0.0000
Hg: 0.1583 0.1960 0.4011
Hg: 0.5073 0.3914 0.8044
Hg: 0.7927 0.8034 0.6475
Sb: 0.5796 0.5981 0.2184
H: 0.3703 0.1526 0.6221
O: 0.2940 0.8517 0.2065
O: 0.3172 0.2996 0.0068
O: 0.4982 0.4887 0.4142
O: 0.6605 0.7355 0.0152
O: 0.8558 0.8977 0.4179
O: 0.8767 0.3554 0.2047

Top 6 peaks for 2θ = 15–90°, in order of falling intensity:
24.60 deg, d = 3.618 Å, intensity 100; 25.94 deg, d = 3.435 Å, intensity 78; 36.05 deg, d = 2.492 Å, intensity 52; 32.74 deg, d = 2.736 Å, intensity 46; 33.29 deg, d = 2.691 Å, intensity 46; 32.97 deg, d = 2.717 Å, intensity 40

TiGaNi6: computed PXRD pattern (CuKα), based on DFT lattice parameters and positions (GGA-PBE).
Kinematic intensities with the Lorentz-polarization factor, no thermal factor.

Atomic structure:
Lattice parameters (Å, degrees): 3.5883 3.5883 7.1284 90.00 90.00 90.00
Element x y z (fractional)
Ti: 0.0000 0.0000 0.0000
Ga: 0.0000 0.0000 0.5000
Ni: 0.0000 0.5000 0.2507
Ni: 0.0000 0.5000 0.7493
Ni: 0.5000 0.0000 0.2507
Ni: 0.5000 0.0000 0.7493
Ni: 0.5000 0.5000 0.0000
Ni: 0.5000 0.5000 0.5000

Top 6 peaks for 2θ = 15–90°, in order of falling intensity:
43.80 deg, d = 2.067 Å, intensity 100; 50.90 deg, d = 1.794 Å, intensity 31; 75.14 deg, d = 1.264 Å, intensity 18; 51.26 deg, d = 1.782 Å, intensity 15; 74.84 deg, d = 1.269 Å, intensity 9; 27.84 deg, d = 3.205 Å, intensity 1

Cs2TlAuBr6: computed PXRD pattern (CuKα), based on DFT lattice parameters and positions (GGA-PBE).
Kinematic intensities with the Lorentz-polarization factor, no thermal factor.

Atomic structure:
Lattice parameters (Å, degrees): 8.0214 8.0214 8.0214 60.00 60.00 60.00
Element x y z (fractional)
Cs: 0.2500 0.2500 0.2500
Cs: 0.7500 0.7500 0.7500
Tl: 0.0000 0.0000 0.0000
Au: 0.5000 0.5000 0.5000
Br: 0.2584 0.2584 0.7416
Br: 0.2584 0.7416 0.2584
Br: 0.2584 0.7416 0.7416
Br: 0.7416 0.2584 0.2584
Br: 0.7416 0.2584 0.7416
Br: 0.7416 0.7416 0.2584

Top 6 peaks for 2θ = 15–90°, in order of falling intensity:
31.55 deg, d = 2.836 Å, intensity 100; 22.16 deg, d = 4.011 Å, intensity 88; 45.22 deg, d = 2.005 Å, intensity 73; 38.89 deg, d = 2.316 Å, intensity 42; 15.62 deg, d = 5.672 Å, intensity 37; 74.87 deg, d = 1.268 Å, intensity 32

MnGa: computed PXRD pattern (CuKα), based on DFT lattice parameters and positions (GGA-PBE).
Kinematic intensities with the Lorentz-polarization factor, no thermal factor.

Atomic structure:
Lattice parameters (Å, degrees): 2.7152 2.7152 3.6389 90.00 90.00 90.00
Element x y z (fractional)
Mn: 0.0000 0.0000 0.0000
Ga: 0.5000 0.5000 0.5000

Top 6 peaks for 2θ = 15–90°, in order of falling intensity:
41.50 deg, d = 2.176 Å, intensity 100; 47.35 deg, d = 1.920 Å, intensity 34; 84.02 deg, d = 1.152 Å, intensity 23; 71.43 deg, d = 1.321 Å, intensity 18; 50.14 deg, d = 1.819 Å, intensity 14; 88.23 deg, d = 1.107 Å, intensity 10